(1)
# ThZr3
Simulated X-ray powder pattern, Cu Kα. Input: a cell relaxed with PBE.

Main lines, sorted by position (10° ≤ 2θ ≤ 90°):
2theta	I/Imax
31.21	28
33.37	25
35.51	100
46.33	19
55.54	18
61.03	19
66.36	20
67.68	15

Cell: 3.309 3.309 10.742 Å, 90.00 90.00 120.00°
Fractional coordinates of all 4 atoms:
Th 0.000 0.000 0.000
Zr 0.000 0.000 0.500
Zr 0.667 0.333 0.264
Zr 0.667 0.333 0.736

***

(2)
# Ti
Simulated X-ray powder pattern, Cu Kα. Input: a cell relaxed with PBE.

Main lines, sorted by position (10° ≤ 2θ ≤ 90°):
2theta	I/Imax
35.33	25
38.81	25
40.48	100
53.48	14
63.41	15
71.39	16
76.89	17
77.98	12

Cell: 2.934 2.934 4.641 Å, 90.00 90.00 120.00°
Fractional coordinates of all 2 atoms:
Ti 0.333 0.667 0.250
Ti 0.667 0.333 0.750

***

(3)
# Ti8Tl
Simulated X-ray powder pattern, Cu Kα. Input: a cell relaxed with PBE.

Main lines, sorted by position (10° ≤ 2θ ≤ 90°):
2theta	I/Imax
13.91	29
19.72	16
24.58	21
31.71	24
37.62	100
42.59	34
64.39	19
74.67	23

Cell: 6.668 6.668 6.668 Å, 95.05 95.05 145.49°
Fractional coordinates of all 9 atoms:
Ti 0.000 0.340 0.340
Ti 0.000 0.660 0.660
Ti 0.327 0.327 0.653
Ti 0.327 0.673 0.000
Ti 0.340 0.000 0.340
Ti 0.660 0.000 0.660
Ti 0.673 0.327 0.000
Ti 0.673 0.673 0.347
Tl 0.000 0.000 0.000

***

(4)
# Ti6Tl3V
Simulated X-ray powder pattern, Cu Kα. Input: a cell relaxed with PBE.

Main lines, sorted by position (10° ≤ 2θ ≤ 90°):
2theta	I/Imax
19.34	95
24.53	46
25.29	54
34.92	74
37.12	82
38.25	55
39.20	100
43.16	87

Cell: 5.756 5.756 7.716 Å, 107.40 107.40 53.88°
Fractional coordinates of all 10 atoms:
Ti 0.100 0.614 0.173
Ti 0.112 0.112 0.419
Ti 0.386 0.900 0.827
Ti 0.614 0.100 0.173
Ti 0.888 0.888 0.581
Ti 0.900 0.386 0.827
Tl 0.379 0.379 0.808
Tl 0.500 0.500 0.500
Tl 0.621 0.621 0.192
V 0.000 0.000 0.000